1.
Starting from a cell relaxed with GGA-PBE, the powder XRD pattern of Ag2AsSe2S was computed for Cu Kα (λ = 1.5418 Å).
No peak broadening, texture or thermal motion is included.

Crystal structure
Unit cell a=11.954 b=6.964 c=7.535 alpha=90.00 beta=90.00 gamma=90.00
Space group Cmc2_1 (No. 36)
One atom of each set of equivalent atoms:
Ag 0.153 0.177 0.000
As 0.000 0.341 0.464
Se 0.162 0.170 0.348
S 0.000 0.371 0.836

Top 10 peaks for 10° ≤ 2θ ≤ 80°, by angle:
2theta  I_rel  h k l
23.62  84  0 0 2
25.58  47  0 2 0
25.76  79  3 1 0
28.23  42  0 2 1
28.39  91  3 1 1
44.48  48  0 2 3
44.59  100  3 1 3
45.21  66  3 3 0
45.53  31  6 0 0
51.63  35  3 3 2

2.
Starting from a cell relaxed with GGA-PBE, the powder XRD pattern of Tl3Ag3As2S6 was computed for Cu Kα (λ = 1.5418 Å).
No peak broadening, texture or thermal motion is included.

Crystal structure
Unit cell a=11.287 b=12.091 c=12.053 alpha=90.00 beta=119.93 gamma=90.00
Space group P2_1/c (No. 14)
One atom of each set of equivalent atoms:
Tl 0.163 0.247 0.225
Tl 0.198 0.511 0.977
Tl 0.212 0.613 0.613
Ag 0.123 0.151 0.928
Ag 0.463 0.629 0.547
Ag 0.467 0.642 0.926
As 0.159 0.603 0.255
As 0.497 0.142 0.244
S 0.003 0.683 0.062
S 0.008 0.532 0.311
S 0.251 0.749 0.393
S 0.368 0.081 0.037
S 0.381 0.074 0.342
S 0.427 0.180 0.716

Top 10 peaks for 10° ≤ 2θ ≤ 80°, by angle:
2theta  I_rel  h k l
22.50  49  0 2 2
22.98  47  2 2 -2
23.66  47  0 3 1
23.90  81  1 3 0
27.35  100  3 0 0
29.60  89  0 2 3
30.45  81  3 2 -3
32.16  39  1 1 3
33.45  51  4 1 -3
48.93  40  6 0 -4

3.
Starting from a cell relaxed with GGA-PBE, the powder XRD pattern of ScAg2As2 was computed for Cu Kα (λ = 1.5418 Å).
No peak broadening, texture or thermal motion is included.

Crystal structure
Unit cell a=7.261 b=7.261 c=3.796 alpha=90.00 beta=90.00 gamma=90.00
Space group P4/mbm (No. 127)
One atom of each set of equivalent atoms:
Sc 0.000 0.000 0.000
Ag 0.141 0.359 0.500
As 0.162 0.662 0.000

Top 10 peaks for 10° ≤ 2θ ≤ 80°, by angle:
2theta  I_rel  h k l
17.27  14  1 1 0
29.26  9  1 1 1
36.41  100  2 1 1
39.24  31  3 1 0
47.93  12  0 0 2
50.26  8  4 0 0
53.55  8  3 3 0
57.71  9  4 1 1
63.60  14  3 1 2
74.70  22  5 2 1